Record 1
This entry pairs a crystal structure of CuSi2Au with its simulated powder X-ray diffraction pattern. Radiation: Cu Kα X-rays. Structure: a structure optimized by DFT (GGA-PBE).
Neutral-atom scattering factors, no anomalous dispersion.

Most intense lines, 2θ from 10° to 90°, by intensity:
two_theta	I_rel
37.9	100
35.5	78
22.9	74
46.8	54
47.0	54
38.1	49
17.5	41
32.0	25
66.9	25
25.8	24

Atomic structure:
Cell lengths 7.9486, 2.9958, 5.1767 Å; angles 90.00, 102.19, 90.00 degrees
Space group C2/m (No. 12)
One atom of each set of equivalent atoms:
Cu 0.0000 0.0000 0.0000
Si 0.2478 0.5000 0.2191
Au 0.0000 0.5000 0.5000

***

Record 2
This entry pairs a crystal structure of Cu6SiAu with its simulated powder X-ray diffraction pattern. Radiation: Cu Kα X-rays. Structure: a structure optimized by DFT (GGA-PBE).
Neutral-atom scattering factors, no anomalous dispersion.

Most intense lines, 2θ from 10° to 90°, by intensity:
two_theta	I_rel
42.1	100
48.4	16
49.0	16
16.8	16
49.5	15
29.6	15
87.7	11
86.0	11
86.9	11
71.4	9

Atomic structure:
Cell lengths 3.6812, 7.5227, 7.4324 Å; angles 90.00, 90.00, 90.00 degrees
Space group Amm2 (No. 38)
One atom of each set of equivalent atoms:
Cu 0.0000 0.0000 0.0000
Cu 0.0000 0.2364 0.7524
Cu 0.5000 0.0000 0.7581
Cu 0.5000 0.2491 0.0071
Si 0.0000 0.0000 0.5204
Au 0.5000 0.0000 0.2606

***

Record 3
This entry pairs a crystal structure of SmZn3CuAu with its simulated powder X-ray diffraction pattern. Radiation: Cu Kα X-rays. Structure: a structure optimized by DFT (GGA-PBE).
Neutral-atom scattering factors, no anomalous dispersion.

Most intense lines, 2θ from 10° to 90°, by intensity:
two_theta	I_rel
41.5	100
43.4	96
30.0	68
33.7	55
40.4	51
33.2	50
25.8	44
30.5	40
38.4	34
61.3	26

Atomic structure:
Cell lengths 5.9464, 12.7607, 5.8537 Å; angles 90.00, 90.00, 90.00 degrees
Space group Cmcm (No. 63)
One atom of each set of equivalent atoms:
Sm 0.0000 0.2166 0.2500
Zn 0.0000 0.3693 0.7500
Zn 0.2082 0.0000 0.0000
Cu 0.0000 0.4304 0.2500
Au 0.0000 0.1598 0.7500

***

Record 4
This entry pairs a crystal structure of Cu5SnAu with its simulated powder X-ray diffraction pattern. Radiation: Cu Kα X-rays. Structure: a structure optimized by DFT (GGA-PBE).
Neutral-atom scattering factors, no anomalous dispersion.

Most intense lines, 2θ from 10° to 90°, by intensity:
two_theta	I_rel
41.4	100
26.6	45
49.2	30
69.8	20
46.2	18
20.4	15
42.2	14
86.8	12
86.6	12
82.3	7

Atomic structure:
Cell lengths 5.2327, 7.8598, 5.2468 Å; angles 90.00, 90.00, 90.00 degrees
Space group Cmmm (No. 65)
One atom of each set of equivalent atoms:
Cu 0.0000 0.0000 0.0000
Cu 0.2500 0.2500 0.2547
Sn 0.0000 0.5000 0.0000
Au 0.0000 0.0000 0.5000

***

Record 5
This entry pairs a crystal structure of Cu3SnAu3 with its simulated powder X-ray diffraction pattern. Radiation: Cu Kα X-rays. Structure: a structure optimized by DFT (GGA-PBE).
Neutral-atom scattering factors, no anomalous dispersion.

Most intense lines, 2θ from 10° to 90°, by intensity:
two_theta	I_rel
36.5	100
28.1	66
43.5	65
41.8	58
38.3	49
48.2	40
75.2	23
69.3	20
71.7	19
34.5	19

Atomic structure:
Cell lengths 7.7895, 7.7895, 7.7895 Å; angles 90.00, 90.00, 90.00 degrees
Space group P2_13 (No. 198)
One atom of each set of equivalent atoms:
Cu 0.1353 0.3647 0.6353
Cu 0.1661 0.1661 0.1661
Cu 0.1736 0.8264 0.3264
Sn 0.0384 0.5384 0.9616
Au 0.0259 0.6903 0.6174

***

Record 6
This entry pairs a crystal structure of Cu6SnAu3 with its simulated powder X-ray diffraction pattern. Radiation: Cu Kα X-rays. Structure: a structure optimized by DFT (GGA-PBE).
Neutral-atom scattering factors, no anomalous dispersion.

Most intense lines, 2θ from 10° to 90°, by intensity:
two_theta	I_rel
40.5	100
40.8	97
34.5	84
42.4	61
27.7	43
38.0	40
31.5	34
27.2	32
20.8	30
66.1	27

Atomic structure:
Cell lengths 2.8294, 6.5600, 17.2566 Å; angles 90.00, 99.01, 90.00 degrees
Space group P2_1/c (No. 14)
One atom of each set of equivalent atoms:
Cu 0.1199 0.2240 0.1133
Cu 0.1438 0.6484 0.6380
Cu 0.3659 0.0356 0.3676
Sn 0.5000 0.0000 0.0000
Au 0.0000 0.0000 0.5000
Au 0.2566 0.5974 0.2619